(1)
The following is a computed powder X-ray diffraction pattern of TbErGa2Fe4. It was derived from a crystal structure in OQMD, relaxed with PBE, using Cu Kα, 1.54184 Å.
Neutral-atom scattering factors, no anomalous dispersion.

Main lines, by intensity (10 to 90 degrees two-theta):
| 2theta | I (rel.) |
| --- | --- |
| 31.9 | 100 |
| 39.4 | 82 |
| 46.1 | 29 |
| 39.6 | 27 |
| 36.4 | 26 |
| 43.2 | 24 |
| 45.3 | 24 |
| 60.1 | 18 |
| 67.5 | 16 |
| 62.6 | 15 |
| 62.4 | 14 |
| 62.2 | 14 |

Cell: 3.9354 4.9426 6.8256 Å, 90.00 90.00 90.00°
Fractional coordinates of all 8 atoms:
Tb 0.0000 0.0000 0.0000
Er 0.0000 0.5000 0.6281
Ga 0.5000 0.0000 0.6476
Ga 0.5000 0.5000 0.9824
Fe 0.0000 0.0000 0.4124
Fe 0.0000 0.5000 0.2220
Fe 0.5000 0.2507 0.3170
Fe 0.5000 0.7493 0.3170

---

(2)
The following is a computed powder X-ray diffraction pattern of ErTmGa2Fe4. It was derived from a crystal structure in OQMD, relaxed with PBE, using Cu Kα, 1.54184 Å.
Neutral-atom scattering factors, no anomalous dispersion.

Main lines, by intensity (10 to 90 degrees two-theta):
| 2theta | I (rel.) |
| --- | --- |
| 32.0 | 100 |
| 39.6 | 80 |
| 46.2 | 29 |
| 62.7 | 27 |
| 39.9 | 26 |
| 36.6 | 26 |
| 43.4 | 24 |
| 45.6 | 23 |
| 67.9 | 16 |
| 63.0 | 15 |
| 35.0 | 14 |
| 22.6 | 13 |

Cell: 3.9269 4.9167 6.7711 Å, 90.00 90.00 90.00°
Fractional coordinates of all 8 atoms:
Er 0.0000 0.0000 0.0000
Tm 0.0000 0.5000 0.3734
Ga 0.5000 0.0000 0.3518
Ga 0.5000 0.5000 0.0210
Fe 0.0000 0.0000 0.5899
Fe 0.0000 0.5000 0.7815
Fe 0.5000 0.2502 0.6858
Fe 0.5000 0.7498 0.6858

---

(3)
The following is a computed powder X-ray diffraction pattern of Gd2ErFe2Ni7. It was derived from a crystal structure in OQMD, relaxed with PBE, using Cu Kα, 1.54184 Å.
Neutral-atom scattering factors, no anomalous dispersion.

Main lines, by intensity (10 to 90 degrees two-theta):
| 2theta | I (rel.) |
| --- | --- |
| 42.6 | 100 |
| 33.1 | 51 |
| 36.0 | 49 |
| 36.2 | 41 |
| 42.0 | 39 |
| 64.8 | 24 |
| 69.3 | 20 |
| 76.4 | 20 |
| 62.9 | 15 |
| 69.5 | 13 |
| 46.0 | 13 |
| 46.2 | 12 |

Cell: 8.5978 8.5978 8.5978 Å, 33.70 33.70 33.70°
Fractional coordinates of all 12 atoms:
Gd 0.1389 0.1389 0.1389
Gd 0.8611 0.8611 0.8611
Er 0.0000 0.0000 0.0000
Fe 0.3326 0.3326 0.3326
Fe 0.6674 0.6674 0.6674
Ni 0.0825 0.5800 0.5800
Ni 0.4200 0.4200 0.9175
Ni 0.4200 0.9175 0.4200
Ni 0.5000 0.5000 0.5000
Ni 0.5800 0.0825 0.5800
Ni 0.5800 0.5800 0.0825
Ni 0.9175 0.4200 0.4200

---

(4)
The following is a computed powder X-ray diffraction pattern of Er3Fe4Ge4. It was derived from a crystal structure in OQMD, relaxed with PBE, using Cu Kα, 1.54184 Å.
Neutral-atom scattering factors, no anomalous dispersion.

Main lines, by intensity (10 to 90 degrees two-theta):
| 2theta | I (rel.) |
| --- | --- |
| 36.9 | 100 |
| 35.0 | 90 |
| 43.5 | 35 |
| 36.0 | 30 |
| 45.3 | 28 |
| 64.6 | 19 |
| 59.8 | 18 |
| 26.6 | 18 |
| 80.5 | 15 |
| 57.7 | 15 |
| 75.5 | 12 |
| 54.0 | 12 |

Cell: 7.7924 7.7924 7.7924 Å, 149.02 129.01 60.87°
Fractional coordinates of all 11 atoms:
Er 0.0000 0.0000 0.0000
Er 0.3715 0.8715 0.5000
Er 0.6285 0.1285 0.5000
Fe 0.0057 0.3253 0.6803
Fe 0.3550 0.6747 0.6803
Fe 0.6450 0.3253 0.3197
Fe 0.9943 0.6747 0.3197
Ge 0.2206 0.2206 0.0000
Ge 0.3042 0.5000 0.8042
Ge 0.6958 0.5000 0.1958
Ge 0.7794 0.7794 0.0000

---

(5)
The following is a computed powder X-ray diffraction pattern of Er3FeGe3. It was derived from a crystal structure in OQMD, relaxed with PBE, using Cu Kα, 1.54184 Å.
Neutral-atom scattering factors, no anomalous dispersion.

Main lines, by intensity (10 to 90 degrees two-theta):
| 2theta | I (rel.) |
| --- | --- |
| 33.9 | 100 |
| 33.5 | 59 |
| 33.3 | 44 |
| 43.3 | 40 |
| 41.1 | 38 |
| 38.1 | 25 |
| 42.4 | 20 |
| 65.7 | 17 |
| 56.1 | 16 |
| 27.3 | 15 |
| 57.3 | 14 |
| 23.1 | 14 |

Cell: 5.6878 5.6878 13.6835 Å, 109.36 109.36 43.13°
Fractional coordinates of all 14 atoms:
Er 0.0254 0.0254 0.3811
Er 0.0979 0.0979 0.9188
Er 0.2461 0.2461 0.2307
Er 0.7539 0.7539 0.7693
Er 0.9021 0.9021 0.0812
Er 0.9746 0.9746 0.6189
Fe 0.2545 0.2545 0.5857
Fe 0.7455 0.7455 0.4143
Ge 0.3568 0.3568 0.4543
Ge 0.3750 0.3750 0.9250
Ge 0.4516 0.4516 0.7564
Ge 0.5484 0.5484 0.2436
Ge 0.6250 0.6250 0.0750
Ge 0.6432 0.6432 0.5457

---

(6)
The following is a computed powder X-ray diffraction pattern of Er4Fe2SnGe4. It was derived from a crystal structure in OQMD, relaxed with PBE, using Cu Kα, 1.54184 Å.
Neutral-atom scattering factors, no anomalous dispersion.

Main lines, by intensity (10 to 90 degrees two-theta):
| 2theta | I (rel.) |
| --- | --- |
| 34.9 | 100 |
| 33.5 | 98 |
| 36.4 | 70 |
| 42.8 | 51 |
| 35.1 | 35 |
| 40.8 | 34 |
| 37.4 | 31 |
| 27.9 | 28 |
| 58.4 | 25 |
| 38.6 | 21 |
| 60.7 | 21 |
| 32.9 | 20 |

Cell: 7.9740 7.9740 6.9536 Å, 107.04 107.04 30.69°
Fractional coordinates of all 11 atoms:
Er 0.0900 0.0900 0.3862
Er 0.1535 0.1535 0.9418
Er 0.8465 0.8465 0.0582
Er 0.9100 0.9100 0.6138
Fe 0.2797 0.2797 0.3706
Fe 0.7203 0.7203 0.6294
Sn 0.5000 0.5000 0.0000
Ge 0.2902 0.2902 0.7257
Ge 0.4302 0.4302 0.3433
Ge 0.5698 0.5698 0.6567
Ge 0.7098 0.7098 0.2743

---

(7)
The following is a computed powder X-ray diffraction pattern of HoErInFe2. It was derived from a crystal structure in OQMD, relaxed with PBE, using Cu Kα, 1.54184 Å.
Neutral-atom scattering factors, no anomalous dispersion.

Main lines, by intensity (10 to 90 degrees two-theta):
| 2theta | I (rel.) |
| --- | --- |
| 33.6 | 100 |
| 34.7 | 85 |
| 30.9 | 49 |
| 38.5 | 33 |
| 61.0 | 32 |
| 40.9 | 27 |
| 45.9 | 26 |
| 48.5 | 22 |
| 56.4 | 18 |
| 58.2 | 17 |
| 69.0 | 15 |
| 63.1 | 14 |

Cell: 3.9529 7.0823 7.0823 Å, 30.73 90.00 90.00°
Fractional coordinates of all 5 atoms:
Ho 0.0000 0.0000 0.0000
Er 0.0000 0.7231 0.7231
In 0.5000 0.3613 0.3613
Fe 0.5000 0.1528 0.1528
Fe 0.5000 0.5711 0.5711

---

(8)
The following is a computed powder X-ray diffraction pattern of Ho2ErFeNi8. It was derived from a crystal structure in OQMD, relaxed with PBE, using Cu Kα, 1.54184 Å.
Neutral-atom scattering factors, no anomalous dispersion.

Main lines, by intensity (10 to 90 degrees two-theta):
| 2theta | I (rel.) |
| --- | --- |
| 42.9 | 100 |
| 36.3 | 53 |
| 33.4 | 49 |
| 36.5 | 40 |
| 42.3 | 40 |
| 69.8 | 34 |
| 77.0 | 21 |
| 63.4 | 16 |
| 46.3 | 14 |
| 65.4 | 14 |
| 46.6 | 13 |
| 21.0 | 12 |

Cell: 8.5130 8.5130 8.5130 Å, 33.83 33.83 33.83°
Fractional coordinates of all 12 atoms:
Ho 0.1386 0.1386 0.1386
Ho 0.8614 0.8614 0.8614
Er 0.0000 0.0000 0.0000
Fe 0.5000 0.5000 0.5000
Ni 0.0816 0.5838 0.5838
Ni 0.3335 0.3335 0.3335
Ni 0.4162 0.4162 0.9184
Ni 0.4162 0.9184 0.4162
Ni 0.5838 0.0816 0.5838
Ni 0.5838 0.5838 0.0816
Ni 0.6665 0.6665 0.6665
Ni 0.9184 0.4162 0.4162